Structure and computed X-ray diffraction stick pattern of Rb4Hg3F10 (a GGA-PBE-relaxed structure; Cu Kα).
Intensities are scaled so that the largest is 100.

Structural model:
Unit cell a=16.464 b=16.464 c=16.464 alpha=163.77 beta=163.77 gamma=23.03
Element x y z (fractional)
Rb (0.070, 0.070, 0.000)
Rb (0.202, 0.202, 0.000)
Rb (0.798, 0.798, 0.000)
Rb (0.930, 0.930, 0.000)
Hg (0.357, 0.357, 0.000)
Hg (0.500, 0.500, 0.000)
Hg (0.643, 0.643, 0.000)
F (0.000, 0.500, 0.500)
F (0.140, 0.640, 0.500)
F (0.286, 0.286, 0.000)
F (0.360, 0.860, 0.500)
F (0.429, 0.429, 0.000)
F (0.500, 0.000, 0.500)
F (0.571, 0.571, 0.000)
F (0.640, 0.140, 0.500)
F (0.714, 0.714, 0.000)
F (0.860, 0.360, 0.500)

Principal peaks in the range 10 to 90 degrees two-theta, sorted by position:
- 19.30 deg, rel. 25.7
- 27.14 deg, rel. 59.0
- 27.25 deg, rel. 100.0
- 38.75 deg, rel. 36.6
- 48.02 deg, rel. 44.0
- 63.31 deg, rel. 21.1

***

Structure and computed X-ray diffraction stick pattern of RbHg5F11 (a GGA-PBE-relaxed structure; Cu Kα).
Intensities are scaled so that the largest is 100.

Structural model:
Unit cell a=7.512 b=7.512 c=6.190 alpha=106.08 beta=106.08 gamma=97.15
Element x y z (fractional)
Rb (0.000, 0.000, 0.000)
Hg (0.001, 0.636, 0.307)
Hg (0.364, 0.999, 0.693)
Hg (0.500, 0.500, 0.000)
Hg (0.636, 0.001, 0.307)
Hg (0.999, 0.364, 0.693)
F (0.000, 0.000, 0.500)
F (0.141, 0.690, 0.675)
F (0.155, 0.412, 0.055)
F (0.310, 0.859, 0.325)
F (0.335, 0.335, 0.660)
F (0.412, 0.155, 0.055)
F (0.588, 0.845, 0.945)
F (0.665, 0.665, 0.340)
F (0.690, 0.141, 0.675)
F (0.845, 0.588, 0.945)
F (0.859, 0.310, 0.325)

Principal peaks in the range 10 to 90 degrees two-theta, sorted by position:
- 16.66 deg, rel. 100.0
- 22.34 deg, rel. 49.3
- 25.07 deg, rel. 48.7
- 25.29 deg, rel. 61.5
- 29.58 deg, rel. 48.8
- 36.15 deg, rel. 48.6

***

Structure and computed X-ray diffraction stick pattern of Rb2Hg3F10 (a GGA-PBE-relaxed structure; Cu Kα).
Intensities are scaled so that the largest is 100.

Structural model:
Unit cell a=10.819 b=10.819 c=8.691 alpha=110.29 beta=110.29 gamma=37.41
Element x y z (fractional)
Rb (0.111, 0.111, 0.214)
Rb (0.210, 0.210, 0.832)
Rb (0.790, 0.790, 0.168)
Rb (0.889, 0.889, 0.786)
Hg (0.243, 0.757, 0.500)
Hg (0.316, 0.316, 0.473)
Hg (0.418, 0.418, 0.026)
Hg (0.582, 0.582, 0.974)
Hg (0.684, 0.684, 0.527)
Hg (0.757, 0.243, 0.500)
F (0.000, 0.500, 0.500)
F (0.012, 0.012, 0.688)
F (0.115, 0.577, 0.000)
F (0.136, 0.636, 0.459)
F (0.260, 0.260, 0.223)
F (0.301, 0.699, 0.000)
F (0.364, 0.864, 0.541)
F (0.365, 0.365, 0.727)
F (0.423, 0.885, 0.000)
F (0.478, 0.478, 0.314)
F (0.500, 0.000, 0.500)
F (0.522, 0.522, 0.686)
F (0.577, 0.115, 0.000)
F (0.635, 0.635, 0.273)
F (0.636, 0.136, 0.459)
F (0.699, 0.301, 0.000)
F (0.740, 0.740, 0.777)
F (0.864, 0.364, 0.541)
F (0.885, 0.423, 0.000)
F (0.988, 0.988, 0.312)

Principal peaks in the range 10 to 90 degrees two-theta, sorted by position:
- 13.58 deg, rel. 45.2
- 21.98 deg, rel. 60.4
- 24.39 deg, rel. 100.0
- 24.90 deg, rel. 77.9
- 26.10 deg, rel. 77.5
- 44.80 deg, rel. 45.6

***

Structure and computed X-ray diffraction stick pattern of Rb2HgF12 (a GGA-PBE-relaxed structure; Cu Kα).
Intensities are scaled so that the largest is 100.

Structural model:
Unit cell a=4.315 b=4.380 c=14.125 alpha=83.24 beta=88.84 gamma=80.93
Element x y z (fractional)
Rb (0.235, 0.354, 0.231)
Rb (0.765, 0.646, 0.769)
Hg (0.500, 0.500, 0.500)
F (0.103, 0.614, 0.986)
F (0.126, 0.652, 0.418)
F (0.174, 0.041, 0.819)
F (0.352, 0.255, 0.706)
F (0.387, 0.834, 0.584)
F (0.429, 0.009, 0.950)
F (0.571, 0.991, 0.050)
F (0.613, 0.166, 0.416)
F (0.648, 0.745, 0.294)
F (0.826, 0.959, 0.181)
F (0.874, 0.348, 0.582)
F (0.897, 0.386, 0.014)

Principal peaks in the range 10 to 90 degrees two-theta, sorted by position:
- 20.67 deg, rel. 53.9
- 21.80 deg, rel. 80.1
- 22.33 deg, rel. 62.7
- 25.40 deg, rel. 70.5
- 28.36 deg, rel. 100.0
- 31.01 deg, rel. 49.3

***

Structure and computed X-ray diffraction stick pattern of Rb5Hg3F12 (a GGA-PBE-relaxed structure; Cu Kα).
Intensities are scaled so that the largest is 100.

Structural model:
Unit cell a=11.194 b=11.194 c=3.824 alpha=90.00 beta=90.00 gamma=120.00
Element x y z (fractional)
Rb (0.000, 0.722, 0.000)
Rb (0.278, 0.278, 0.000)
Rb (0.333, 0.667, 0.000)
Rb (0.667, 0.333, 0.000)
Rb (0.722, 0.000, 0.000)
Hg (0.000, 0.341, 0.500)
Hg (0.341, 0.000, 0.500)
Hg (0.659, 0.659, 0.500)
F (0.000, 0.209, 0.000)
F (0.000, 0.471, 0.000)
F (0.209, 0.000, 0.000)
F (0.218, 0.775, 0.500)
F (0.225, 0.443, 0.500)
F (0.443, 0.225, 0.500)
F (0.471, 0.000, 0.000)
F (0.529, 0.529, 0.000)
F (0.557, 0.782, 0.500)
F (0.775, 0.218, 0.500)
F (0.782, 0.557, 0.500)
F (0.791, 0.791, 0.000)

Principal peaks in the range 10 to 90 degrees two-theta, sorted by position:
- 15.83 deg, rel. 67.4
- 27.60 deg, rel. 69.9
- 28.26 deg, rel. 100.0
- 39.92 deg, rel. 43.5
- 49.22 deg, rel. 47.8
- 55.87 deg, rel. 20.5

***

Structure and computed X-ray diffraction stick pattern of Rb5HgF6 (a GGA-PBE-relaxed structure; Cu Kα).
Intensities are scaled so that the largest is 100.

Structural model:
Unit cell a=6.969 b=6.969 c=6.949 alpha=99.56 beta=99.56 gamma=120.03
Element x y z (fractional)
Rb (0.000, 0.000, 0.000)
Rb (0.167, 0.833, 0.500)
Rb (0.336, 0.664, 0.000)
Rb (0.664, 0.336, 0.000)
Rb (0.833, 0.167, 0.500)
Hg (0.500, 0.500, 0.500)
F (0.089, 0.417, 0.250)
F (0.255, 0.255, 0.745)
F (0.417, 0.089, 0.250)
F (0.583, 0.911, 0.750)
F (0.745, 0.745, 0.255)
F (0.911, 0.583, 0.750)

Principal peaks in the range 10 to 90 degrees two-theta, sorted by position:
- 27.15 deg, rel. 68.9
- 27.21 deg, rel. 22.2
- 31.47 deg, rel. 100.0
- 45.08 deg, rel. 47.4
- 45.16 deg, rel. 23.6
- 53.44 deg, rel. 32.9

***

Structure and computed X-ray diffraction stick pattern of Rb4HgF5 (a GGA-PBE-relaxed structure; Cu Kα).
Intensities are scaled so that the largest is 100.

Structural model:
Unit cell a=6.958 b=6.958 c=6.958 alpha=99.43 beta=99.43 gamma=132.25
Element x y z (fractional)
Rb (0.102, 0.298, 0.400)
Rb (0.298, 0.898, 0.196)
Rb (0.702, 0.102, 0.804)
Rb (0.898, 0.702, 0.600)
Hg (0.507, 0.507, 0.000)
F (0.204, 0.595, 0.801)
F (0.403, 0.204, 0.609)
F (0.595, 0.794, 0.391)
F (0.794, 0.403, 0.199)
F (0.959, 0.959, 0.000)

Principal peaks in the range 10 to 90 degrees two-theta, sorted by position:
- 27.23 deg, rel. 100.0
- 31.44 deg, rel. 71.0
- 31.77 deg, rel. 33.4
- 45.30 deg, rel. 49.4
- 53.45 deg, rel. 32.3
- 56.18 deg, rel. 25.8

***

Structure and computed X-ray diffraction stick pattern of RbHg3F7 (a GGA-PBE-relaxed structure; Cu Kα).
Intensities are scaled so that the largest is 100.

Structural model:
Unit cell a=5.807 b=5.807 c=6.283 alpha=105.66 beta=105.66 gamma=94.98
Element x y z (fractional)
Rb (0.000, 0.000, 0.000)
Hg (0.268, 0.732, 0.500)
Hg (0.500, 0.500, 0.000)
Hg (0.732, 0.268, 0.500)
F (0.000, 0.000, 0.500)
F (0.133, 0.560, 0.750)
F (0.373, 0.373, 0.266)
F (0.440, 0.867, 0.250)
F (0.560, 0.133, 0.750)
F (0.627, 0.627, 0.734)
F (0.867, 0.440, 0.250)

Principal peaks in the range 10 to 90 degrees two-theta, sorted by position:
- 24.75 deg, rel. 60.5
- 25.93 deg, rel. 100.0
- 31.07 deg, rel. 67.3
- 31.43 deg, rel. 43.6
- 40.39 deg, rel. 42.9
- 47.72 deg, rel. 27.3

***

Structure and computed X-ray diffraction stick pattern of Rb2HgF4 (a GGA-PBE-relaxed structure; Cu Kα).
Intensities are scaled so that the largest is 100.

Structural model:
Unit cell a=7.093 b=6.577 c=7.794 alpha=90.00 beta=108.91 gamma=90.00
Element x y z (fractional)
Rb (0.164, 0.250, 0.041)
Rb (0.247, 0.250, 0.551)
Rb (0.753, 0.750, 0.449)
Rb (0.836, 0.750, 0.959)
Hg (0.295, 0.750, 0.814)
Hg (0.705, 0.250, 0.186)
F (0.045, 0.523, 0.752)
F (0.045, 0.977, 0.752)
F (0.489, 0.250, 0.910)
F (0.497, 0.750, 0.653)
F (0.503, 0.250, 0.347)
F (0.511, 0.750, 0.090)
F (0.955, 0.023, 0.248)
F (0.955, 0.477, 0.248)

Principal peaks in the range 10 to 90 degrees two-theta, sorted by position:
- 14.69 deg, rel. 51.5
- 18.07 deg, rel. 70.5
- 20.58 deg, rel. 33.2
- 27.13 deg, rel. 100.0
- 28.81 deg, rel. 36.5
- 34.15 deg, rel. 35.0

***

Structure and computed X-ray diffraction stick pattern of Rb2HgF6 (a GGA-PBE-relaxed structure; Cu Kα).
Intensities are scaled so that the largest is 100.

Structural model:
Unit cell a=6.206 b=8.136 c=8.295 alpha=90.00 beta=118.35 gamma=90.00
Element x y z (fractional)
Rb (0.178, 0.071, 0.320)
Rb (0.178, 0.429, 0.820)
Rb (0.822, 0.571, 0.180)
Rb (0.822, 0.929, 0.680)
Hg (0.500, 0.000, 0.000)
Hg (0.500, 0.500, 0.500)
F (0.182, 0.119, 0.980)
F (0.182, 0.381, 0.480)
F (0.317, 0.730, 0.449)
F (0.317, 0.770, 0.949)
F (0.344, 0.035, 0.712)
F (0.344, 0.465, 0.212)
F (0.656, 0.535, 0.788)
F (0.656, 0.965, 0.288)
F (0.683, 0.230, 0.051)
F (0.683, 0.270, 0.551)
F (0.818, 0.619, 0.520)
F (0.818, 0.881, 0.020)

Principal peaks in the range 10 to 90 degrees two-theta, sorted by position:
- 16.29 deg, rel. 60.6
- 21.90 deg, rel. 100.0
- 26.93 deg, rel. 49.3
- 31.02 deg, rel. 50.4
- 31.16 deg, rel. 21.1
- 38.62 deg, rel. 34.0

***

Structure and computed X-ray diffraction stick pattern of Rb3Zn2HgF9 (a GGA-PBE-relaxed structure; Cu Kα).
Intensities are scaled so that the largest is 100.

Structural model:
Unit cell a=6.099 b=6.099 c=7.530 alpha=90.00 beta=90.00 gamma=120.00
Element x y z (fractional)
Rb (0.000, 0.000, 0.000)
Rb (0.333, 0.667, 0.668)
Rb (0.667, 0.333, 0.332)
Zn (0.333, 0.667, 0.152)
Zn (0.667, 0.333, 0.848)
Hg (0.000, 0.000, 0.500)
F (0.000, 0.500, 0.000)
F (0.177, 0.353, 0.315)
F (0.177, 0.823, 0.315)
F (0.353, 0.177, 0.685)
F (0.500, 0.000, 0.000)
F (0.500, 0.500, 0.000)
F (0.647, 0.823, 0.315)
F (0.823, 0.177, 0.685)
F (0.823, 0.647, 0.685)

Principal peaks in the range 10 to 90 degrees two-theta, sorted by position:
- 20.54 deg, rel. 27.8
- 29.13 deg, rel. 100.0
- 29.29 deg, rel. 95.0
- 41.78 deg, rel. 74.1
- 51.87 deg, rel. 58.7
- 60.39 deg, rel. 22.5